1.
Starting from the PBE geometry in Alexandria, the PXRD pattern of ErAlPt5 was computed for Cu Kα.
Peak positions follow from Bragg's law for the DFT cell and can differ from measured ones.

Top 12 peaks for 10° ≤ 2θ ≤ 90°, sorted by position:
Position (°2θ)  Rel. int.
31.19  13
33.61  40
37.18  21
40.09  100
44.69  44
59.50  22
65.06  15
69.54  11
73.10  18
75.25  8
77.38  10
79.23  29

Crystal structure
```
ErAlPt5
1.0
4.055 0.000 0.000
0.000 4.055 0.000
0.000 0.000 7.254
Er Al Pt
1 1 5
direct
0.000 0.000 0.000
0.500 0.500 0.500
0.000 0.500 0.291
0.000 0.500 0.709
0.500 0.000 0.291
0.500 0.000 0.709
0.500 0.500 0.000
```

***

2.
Starting from the PBE geometry in Alexandria, the PXRD pattern of Er3PuAl8 was computed for Cu Kα.
Peak positions follow from Bragg's law for the DFT cell and can differ from measured ones.

Top 12 peaks for 10° ≤ 2θ ≤ 90°, sorted by position:
Position (°2θ)  Rel. int.
18.50  48
19.67  22
20.98  41
27.13  20
32.33  78
35.21  100
38.13  65
38.86  29
48.55  21
59.54  43
64.62  18
78.65  20

Crystal structure
```
Er3PuAl8
1.0
5.538 0.000 0.000
-2.769 4.796 0.000
0.000 0.000 9.027
Er Pu Al
3 1 8
direct
0.000 0.000 0.000
0.000 0.000 0.371
0.333 0.667 0.859
0.333 0.667 0.503
0.009 0.505 0.183
0.324 0.162 0.686
0.495 0.505 0.183
0.495 0.991 0.183
0.667 0.333 0.435
0.667 0.333 0.937
0.838 0.162 0.686
0.838 0.676 0.686
```

***

3.
Starting from the PBE geometry in Alexandria, the PXRD pattern of Er4Al12Re was computed for Cu Kα.
Peak positions follow from Bragg's law for the DFT cell and can differ from measured ones.

Top 12 peaks for 10° ≤ 2θ ≤ 90°, sorted by position:
Position (°2θ)  Rel. int.
14.50  22
20.56  27
29.24  100
36.01  42
39.01  15
41.82  44
47.04  15
51.84  39
60.63  28
68.71  20
72.58  14
83.78  22

Crystal structure
```
Er4Al12Re
1.0
-4.320 4.320 4.320
4.320 -4.320 4.320
4.320 4.320 -4.320
Er Al Re
4 12 1
direct
0.000 0.000 0.500
0.000 0.500 0.000
0.500 0.000 0.000
0.500 0.500 0.500
0.000 0.290 0.290
0.000 0.710 0.710
0.250 0.500 0.750
0.250 0.750 0.500
0.290 0.000 0.290
0.290 0.290 0.000
0.500 0.250 0.750
0.500 0.750 0.250
0.710 0.000 0.710
0.710 0.710 0.000
0.750 0.250 0.500
0.750 0.500 0.250
0.000 0.000 0.000
```

***

4.
Starting from the PBE geometry in Alexandria, the PXRD pattern of Er6AlRh2 was computed for Cu Kα.
Peak positions follow from Bragg's law for the DFT cell and can differ from measured ones.

Top 12 peaks for 10° ≤ 2θ ≤ 90°, sorted by position:
Position (°2θ)  Rel. int.
13.44  35
25.94  38
32.30  94
33.97  82
34.97  100
35.74  80
35.94  42
38.96  35
39.35  36
40.06  49
57.45  38
60.93  42

Crystal structure
```
Er6AlRh2
1.0
-4.623 4.693 5.130
4.623 -4.693 5.130
4.623 4.693 -5.130
Er Al Rh
12 2 4
direct
0.043 0.239 0.804
0.180 0.286 0.466
0.180 0.714 0.895
0.330 0.025 0.695
0.330 0.635 0.305
0.436 0.239 0.196
0.564 0.761 0.804
0.670 0.365 0.695
0.670 0.975 0.305
0.820 0.286 0.105
0.820 0.714 0.534
0.957 0.761 0.196
0.000 0.000 0.000
0.500 0.500 0.000
0.134 0.634 0.500
0.327 0.000 0.327
0.673 0.000 0.673
0.866 0.366 0.500
```

***

5.
Starting from the PBE geometry in Alexandria, the PXRD pattern of ErAlRh2 was computed for Cu Kα.
Peak positions follow from Bragg's law for the DFT cell and can differ from measured ones.

Top 12 peaks for 10° ≤ 2θ ≤ 90°, sorted by position:
Position (°2θ)  Rel. int.
20.09  32
33.40  18
39.29  100
40.84  45
45.92  8
53.74  10
54.35  10
59.13  15
70.16  18
73.31  31
84.49  11
88.49  5

Crystal structure
```
ErAlRh2
1.0
4.420 0.000 0.000
0.000 4.420 0.000
0.000 0.000 3.376
Er Al Rh
1 1 2
direct
0.000 0.000 0.000
0.500 0.500 0.000
0.000 0.500 0.500
0.500 0.000 0.500
```

***

6.
Starting from the PBE geometry in Alexandria, the PXRD pattern of ErAl11Ru was computed for Cu Kα.
Peak positions follow from Bragg's law for the DFT cell and can differ from measured ones.

Top 12 peaks for 10° ≤ 2θ ≤ 90°, sorted by position:
Position (°2θ)  Rel. int.
14.03  100
19.82  93
26.56  29
26.86  62
28.25  73
30.17  45
33.65  64
38.90  53
39.19  83
39.53  63
40.26  72
40.38  51

Crystal structure
```
ErAl11Ru
1.0
2.596 -6.311 0.000
2.596 6.311 0.000
-2.391 0.000 6.711
Er Al Ru
1 11 1
direct
0.000 0.000 0.000
0.000 0.000 0.500
0.000 0.500 0.000
0.014 0.361 0.359
0.283 0.499 0.776
0.361 0.014 0.359
0.499 0.283 0.776
0.500 0.000 0.000
0.501 0.717 0.224
0.639 0.986 0.641
0.717 0.501 0.224
0.986 0.639 0.641
0.500 0.500 0.500
```

***

7.
Starting from the PBE geometry in Alexandria, the PXRD pattern of ErAlS was computed for Cu Kα.
Peak positions follow from Bragg's law for the DFT cell and can differ from measured ones.

Top 12 peaks for 10° ≤ 2θ ≤ 90°, sorted by position:
Position (°2θ)  Rel. int.
21.33  38
23.71  100
27.49  48
29.55  62
34.49  48
41.19  67
43.35  29
46.59  21
46.84  30
48.07  15
53.24  20
61.38  23

Crystal structure
```
ErAlS
1.0
2.192 1.265 8.330
-2.192 1.265 8.330
0.000 -2.531 8.330
Er Al S
2 2 2
direct
0.092 0.092 0.092
0.908 0.908 0.908
0.336 0.336 0.336
0.664 0.664 0.664
0.207 0.207 0.207
0.793 0.793 0.793
```

***

8.
Starting from the PBE geometry in Alexandria, the PXRD pattern of Er7AlS5 was computed for Cu Kα.
Peak positions follow from Bragg's law for the DFT cell and can differ from measured ones.

Top 12 peaks for 10° ≤ 2θ ≤ 90°, sorted by position:
Position (°2θ)  Rel. int.
26.78  28
28.01  29
28.69  68
30.40  100
32.18  91
33.35  51
33.98  30
46.75  44
47.18  32
48.66  28
55.58  33
57.17  34

Crystal structure
```
Er7AlS5
1.0
6.432 -1.926 0.000
6.432 1.926 0.000
-12.858 0.000 23.138
Er Al S
14 2 10
direct
0.006 0.006 0.325
0.144 0.144 0.825
0.172 0.172 0.035
0.206 0.206 0.613
0.231 0.231 0.250
0.398 0.398 0.535
0.481 0.481 0.887
0.519 0.519 0.113
0.602 0.602 0.465
0.769 0.769 0.750
0.794 0.794 0.387
0.828 0.828 0.965
0.856 0.856 0.175
0.994 0.994 0.675
0.444 0.444 0.750
0.556 0.556 0.250
0.000 0.000 0.500
0.155 0.155 0.929
0.187 0.187 0.140
0.203 0.203 0.429
0.407 0.407 0.360
0.500 0.500 0.000
0.593 0.593 0.640
0.797 0.797 0.571
0.813 0.813 0.860
0.845 0.845 0.071
```

***

9.
Starting from the PBE geometry in Alexandria, the PXRD pattern of Er8AlSb6 was computed for Cu Kα.
Peak positions follow from Bragg's law for the DFT cell and can differ from measured ones.

Top 12 peaks for 10° ≤ 2θ ≤ 90°, sorted by position:
Position (°2θ)  Rel. int.
25.90  30
27.74  35
29.40  25
32.63  100
35.52  32
39.59  25
39.71  24
47.90  22
54.31  17
60.11  18
67.63  12
76.07  17

Crystal structure
```
Er8AlSb6
1.0
10.524 0.000 0.000
-5.262 9.114 0.000
0.000 0.000 4.539
Er Al Sb
8 1 6
direct
0.033 0.739 0.245
0.261 0.294 0.245
0.294 0.033 0.755
0.333 0.667 0.753
0.667 0.333 0.247
0.706 0.967 0.245
0.739 0.706 0.755
0.967 0.261 0.755
0.000 0.000 0.000
0.112 0.474 0.253
0.362 0.888 0.253
0.474 0.362 0.747
0.526 0.638 0.253
0.638 0.112 0.747
0.888 0.526 0.747
```

***

10.
Starting from the PBE geometry in Alexandria, the PXRD pattern of Er2Sc2Al was computed for Cu Kα.
Peak positions follow from Bragg's law for the DFT cell and can differ from measured ones.

Top 12 peaks for 10° ≤ 2θ ≤ 90°, sorted by position:
Position (°2θ)  Rel. int.
21.24  17
22.18  100
23.03  29
33.34  68
36.19  43
38.40  53
44.30  16
44.79  16
50.89  17
51.75  19
66.25  18
68.96  14

Crystal structure
```
Er2Sc2Al
1.0
4.688 0.000 0.000
-2.344 4.060 0.000
0.000 0.000 25.096
Er Sc Al
6 6 3
direct
0.000 0.000 0.068
0.000 0.000 0.932
0.333 0.667 0.599
0.333 0.667 0.735
0.667 0.333 0.265
0.667 0.333 0.401
0.000 0.000 0.196
0.000 0.000 0.804
0.333 0.667 0.470
0.333 0.667 0.863
0.667 0.333 0.137
0.667 0.333 0.530
0.000 0.000 0.500
0.333 0.667 0.167
0.667 0.333 0.833
```

***

11.
Starting from the PBE geometry in Alexandria, the PXRD pattern of Er4Sc9Al11 was computed for Cu Kα.
Peak positions follow from Bragg's law for the DFT cell and can differ from measured ones.

Top 12 peaks for 10° ≤ 2θ ≤ 90°, sorted by position:
Position (°2θ)  Rel. int.
12.08  43
18.62  65
24.53  47
27.43  49
28.39  43
30.78  33
34.17  100
36.97  67
37.72  41
37.87  71
39.89  51
42.37  54

Crystal structure
```
Er4Sc9Al11
1.0
7.327 -10.886 0.000
7.327 10.886 0.000
0.000 0.000 3.143
Er Sc Al
4 9 11
direct
0.097 0.261 0.000
0.261 0.097 0.000
0.739 0.903 0.000
0.903 0.739 0.000
0.000 0.000 0.000
0.111 0.668 0.000
0.298 0.495 0.000
0.332 0.889 0.000
0.495 0.298 0.000
0.505 0.702 0.000
0.668 0.111 0.000
0.702 0.505 0.000
0.889 0.332 0.000
0.091 0.468 0.500
0.121 0.879 0.500
0.309 0.691 0.500
0.311 0.311 0.500
0.468 0.091 0.500
0.500 0.500 0.500
0.532 0.909 0.500
0.689 0.689 0.500
0.691 0.309 0.500
0.879 0.121 0.500
0.909 0.532 0.500
```

***

12.
Starting from the PBE geometry in Alexandria, the PXRD pattern of Er4Sc3Al4 was computed for Cu Kα.
Peak positions follow from Bragg's law for the DFT cell and can differ from measured ones.

Top 12 peaks for 10° ≤ 2θ ≤ 90°, sorted by position:
Position (°2θ)  Rel. int.
17.84  31
19.80  60
29.94  49
31.12  95
33.47  100
34.23  52
35.37  32
36.13  44
37.16  49
40.81  39
42.10  29
51.43  51

Crystal structure
```
Er4Sc3Al4
1.0
-1.639 4.493 8.955
1.639 -4.493 8.955
1.639 4.493 -8.955
Er Sc Al
4 3 4
direct
0.020 0.838 0.182
0.344 0.162 0.182
0.656 0.838 0.818
0.980 0.162 0.818
0.000 0.500 0.500
0.408 0.408 0.000
0.592 0.592 0.000
0.276 0.776 0.500
0.281 0.000 0.281
0.719 0.000 0.719
0.724 0.224 0.500
```

***

13.
Starting from the PBE geometry in Alexandria, the PXRD pattern of ErScAl was computed for Cu Kα.
Peak positions follow from Bragg's law for the DFT cell and can differ from measured ones.

Top 12 peaks for 10° ≤ 2θ ≤ 90°, sorted by position:
Position (°2θ)  Rel. int.
11.34  21
20.94  36
25.62  33
28.92  33
34.49  25
35.31  100
35.52  25
44.31  16
50.35  17
62.32  21
63.65  18
84.72  13

Crystal structure
```
ErScAl
1.0
3.567 0.000 0.000
0.000 5.054 0.000
-1.784 0.000 7.800
Er Sc Al
2 2 2
direct
0.080 0.250 0.159
0.920 0.750 0.841
0.231 0.750 0.463
0.769 0.250 0.537
0.415 0.250 0.830
0.585 0.750 0.170
```